# 1
Calculated powder diffraction line list
Compound: AgS
Radiation: Cu Kα (weighted mean of Kα1 and Kα2)
Structure: the PBE geometry in OQMD
Lines closer than 0.1° are merged.

The 10 most intense peaks (2θ = 10–90°), sorted by position:
- 29.23°, intensity 577
- 33.88°, intensity 1000
- 48.54°, intensity 114
- 48.69°, intensity 562
- 57.73°, intensity 125
- 57.84°, intensity 124
- 60.52°, intensity 113
- 60.71°, intensity 111
- 71.28°, intensity 102
- 81.32°, intensity 192

Structure:
```
AgS
1.0
10.5787 0.0000 0.0000
0.0000 3.7510 0.0000
0.0000 0.0000 3.7350
Ag S
4 4
Direct
0.1252 0.2500 0.2435 Ag
0.3748 0.7500 0.7435 Ag
0.6252 0.2500 0.2565 Ag
0.8748 0.7500 0.7565 Ag
0.1248 0.7500 0.7439 S
0.3752 0.2500 0.2439 S
0.6248 0.7500 0.7561 S
0.8752 0.2500 0.2561 S
```

=====

# 2
Calculated powder diffraction line list
Compound: Ag12Sb4S13
Radiation: Cu Kα (weighted mean of Kα1 and Kα2)
Structure: the PBE geometry in OQMD
Lines closer than 0.1° are merged.

The 10 most intense peaks (2θ = 10–90°), sorted by position:
- 27.44°, intensity 1000
- 31.79°, intensity 313
- 40.87°, intensity 55
- 45.58°, intensity 489
- 54.03°, intensity 358
- 56.64°, intensity 65
- 66.43°, intensity 64
- 73.30°, intensity 117
- 75.53°, intensity 68
- 84.27°, intensity 112

Structure:
```
Ag12Sb4S13
1.0
-5.6293 5.6293 5.6293
5.6293 -5.6293 5.6293
5.6293 5.6293 -5.6293
Ag Sb S
12 4 13
Direct
0.0000 0.2220 0.2220 Ag
0.0000 0.7780 0.7780 Ag
0.2220 0.0000 0.2220 Ag
0.2220 0.2220 0.0000 Ag
0.2500 0.5000 0.7500 Ag
0.2500 0.7500 0.5000 Ag
0.5000 0.2500 0.7500 Ag
0.5000 0.7500 0.2500 Ag
0.7500 0.2500 0.5000 Ag
0.7500 0.5000 0.2500 Ag
0.7780 0.0000 0.7780 Ag
0.7780 0.7780 0.0000 Ag
0.0000 0.0000 0.5263 Sb
0.0000 0.5263 0.0000 Sb
0.4737 0.4737 0.4737 Sb
0.5263 0.0000 0.0000 Sb
0.0000 0.0000 0.0000 S
0.0000 0.2344 0.4813 S
0.0000 0.4813 0.2344 S
0.2344 0.0000 0.4813 S
0.2344 0.4813 0.0000 S
0.2469 0.7656 0.7656 S
0.4813 0.0000 0.2344 S
0.4813 0.2344 0.0000 S
0.5187 0.5187 0.7531 S
0.5187 0.7531 0.5187 S
0.7531 0.5187 0.5187 S
0.7656 0.2469 0.7656 S
0.7656 0.7656 0.2469 S
```

=====

# 3
Calculated powder diffraction line list
Compound: AgSb2S2
Radiation: Cu Kα (weighted mean of Kα1 and Kα2)
Structure: the PBE geometry in OQMD
Lines closer than 0.1° are merged.

The 10 most intense peaks (2θ = 10–90°), sorted by position:
- 18.13°, intensity 420
- 18.40°, intensity 373
- 25.55°, intensity 687
- 26.24°, intensity 822
- 32.00°, intensity 993
- 34.10°, intensity 1000
- 37.30°, intensity 595
- 41.38°, intensity 479
- 43.84°, intensity 465
- 50.95°, intensity 387

Structure:
```
AgSb2S2
1.0
0.0000 6.6735 6.9739
2.8386 0.0000 6.9739
2.8386 6.6735 0.0000
Ag Sb S
2 4 4
Direct
0.1250 0.1250 0.1250 Ag
0.8750 0.8750 0.8750 Ag
0.1646 0.5854 0.1646 Sb
0.4146 0.8354 0.4146 Sb
0.5854 0.1646 0.5854 Sb
0.8354 0.4146 0.8354 Sb
0.0000 0.0000 0.0000 S
0.0000 0.0000 0.5000 S
0.0000 0.5000 0.0000 S
0.5000 0.0000 0.0000 S
```

=====

# 4
Calculated powder diffraction line list
Compound: AgSbS6
Radiation: Cu Kα (weighted mean of Kα1 and Kα2)
Structure: the PBE geometry in OQMD
Lines closer than 0.1° are merged.

The 10 most intense peaks (2θ = 10–90°), sorted by position:
- 16.98°, intensity 1000
- 27.90°, intensity 722
- 32.84°, intensity 926
- 34.35°, intensity 283
- 39.87°, intensity 754
- 43.62°, intensity 609
- 49.36°, intensity 252
- 52.58°, intensity 277
- 57.65°, intensity 438
- 81.79°, intensity 264

Structure:
```
AgSbS6
1.0
0.0000 4.5224 4.5224
4.5224 0.0000 4.5224
4.5224 4.5224 0.0000
Ag Sb S
1 1 6
Direct
0.0000 0.0000 0.0000 Ag
0.7500 0.7500 0.7500 Sb
0.0299 0.0299 0.4701 S
0.0299 0.4701 0.0299 S
0.0299 0.4701 0.4701 S
0.4701 0.0299 0.0299 S
0.4701 0.0299 0.4701 S
0.4701 0.4701 0.0299 S
```

=====

# 5
Calculated powder diffraction line list
Compound: Ag3SbS4
Radiation: Cu Kα (weighted mean of Kα1 and Kα2)
Structure: the PBE geometry in OQMD
Lines closer than 0.1° are merged.

The 10 most intense peaks (2θ = 10–90°), sorted by position:
- 26.45°, intensity 1000
- 30.58°, intensity 159
- 30.74°, intensity 78
- 43.80°, intensity 185
- 43.92°, intensity 369
- 51.90°, intensity 292
- 52.10°, intensity 144
- 70.37°, intensity 113
- 80.57°, intensity 116
- 86.53°, intensity 66

Structure:
```
Ag3SbS4
1.0
-2.9230 2.9230 5.8168
2.9230 -2.9230 5.8168
2.9230 2.9230 -5.8168
Ag Sb S
3 1 4
Direct
0.0000 0.0000 0.0000 Ag
0.2500 0.7500 0.5000 Ag
0.7500 0.2500 0.5000 Ag
0.5000 0.5000 0.0000 Sb
0.1417 0.6163 0.0000 S
0.3837 0.3837 0.5255 S
0.6163 0.1417 0.0000 S
0.8583 0.8583 0.4745 S
```

=====

# 6
Calculated powder diffraction line list
Compound: Ag3SbSe2S2
Radiation: Cu Kα (weighted mean of Kα1 and Kα2)
Structure: the PBE geometry in OQMD
Lines closer than 0.1° are merged.

The 10 most intense peaks (2θ = 10–90°), sorted by position:
- 25.73°, intensity 959
- 25.96°, intensity 1000
- 42.57°, intensity 219
- 42.70°, intensity 426
- 42.93°, intensity 432
- 43.17°, intensity 208
- 50.34°, intensity 145
- 50.57°, intensity 158
- 50.73°, intensity 409
- 51.13°, intensity 140

Structure:
```
Ag3SbSe2S2
1.0
6.6160 -2.9908 0.0000
6.6160 2.9908 0.0000
-2.6467 0.0000 5.3814
Ag Sb Se S
3 1 2 2
Direct
0.0000 0.0000 0.0000 Ag
0.2332 0.2670 0.7278 Ag
0.7330 0.7668 0.2722 Ag
0.4740 0.5260 0.5000 Sb
0.5966 0.1525 0.1328 Se
0.8475 0.4034 0.8672 Se
0.1231 0.6378 0.6173 S
0.3622 0.8769 0.3827 S
```